Mg2Sb3O8: theoretical powder diffraction line list (a wavelength of 1.5418 Å), based on a cell relaxed with PBE.
Intensities are scaled so that the largest is 100.

```
data_Mg2Sb3O8
_chemical_formula_sum 'Mg4 Sb6 O16'
_space_group_name_H-M_alt 'P 63 m c'
_space_group_IT_number 186
_space_group_name_Hall 'P 6c -2c'
_cell_length_a 6.5382
_cell_length_b 6.5382
_cell_length_c 9.5225
_cell_angle_alpha 90.00
_cell_angle_beta 90.00
_cell_angle_gamma 120.00
loop_
_atom_site_label
_atom_site_type_symbol
_atom_site_fract_x
_atom_site_fract_y
_atom_site_fract_z
_atom_site_occupancy
Mg1 Mg 0.3333 0.6667 0.0000 1
Mg2 Mg 0.3333 0.6667 0.3688 1
Sb1 Sb 0.1658 0.3316 0.7122 1
O1 O 0.0000 0.0000 0.3194 1
O2 O 0.0374 0.5187 0.8471 1
O3 O 0.1717 0.3434 0.1181 1
O4 O 0.3333 0.6667 0.5849 1
```

Principal peaks in the range 10 to 80 degrees two-theta, by intensity:
18.64°, intensity 100
33.01°, intensity 98
42.80°, intensity 54
18.23°, intensity 41
36.94°, intensity 34
56.28°, intensity 34
58.40°, intensity 33
33.24°, intensity 28